# 1
Structure and calculated powder diffraction line list of Li4Cd2Au3 (a structure optimized by DFT (GGA-PBE); Cu Ka).
Intensities are scaled so that the largest is 100.

Cell and atoms:
```
Li4Cd2Au3
1.0
4.1715 0.0000 0.0000
2.0707 4.4559 0.0000
0.0342 2.1534 8.2407
Li Cd Au
4 2 3
direct
0.0144 0.4708 0.3474
0.3390 0.8221 0.1114
0.6610 0.1779 0.8886
0.9856 0.5292 0.6526
0.3260 0.8465 0.7793
0.6740 0.1535 0.2207
0.0000 0.5000 0.0000
0.3385 0.8219 0.4339
0.6615 0.1781 0.5661
```

Most intense lines, 2θ from 15° to 90°, by angle:
| d (Å) | Position (°2θ) | intensity |
| --- | --- | --- |
| 4.293 | 20.69 | 66 |
| 3.569 | 24.95 | 53 |
| 3.445 | 25.86 | 75 |
| 3.293 | 27.08 | 43 |
| 3.274 | 27.24 | 43 |
| 2.372 | 37.94 | 72 |
| 2.362 | 38.10 | 71 |
| 2.347 | 38.34 | 69 |
| 2.339 | 38.48 | 68 |
| 2.088 | 43.34 | 100 |

=====

# 2
Structure and calculated powder diffraction line list of AcCu4P3 (a structure optimized by DFT (GGA-PBE); Cu Ka).
Intensities are scaled so that the largest is 100.

Cell and atoms:
```
AcCu4P3
1.0
4.1499 0.0000 0.0000
0.0000 4.1499 0.0000
0.0000 0.0000 7.5240
Ac Cu P
1 4 3
direct
0.0000 0.0000 0.0000
0.0000 0.5000 0.3299
0.0000 0.5000 0.6701
0.5000 0.0000 0.3299
0.5000 0.0000 0.6701
0.0000 0.0000 0.5000
0.5000 0.5000 0.1589
0.5000 0.5000 0.8411
```

Most intense lines, 2θ from 15° to 90°, by angle:
| d (Å) | Position (°2θ) | intensity |
| --- | --- | --- |
| 4.150 | 21.41 | 39 |
| 3.634 | 24.50 | 37 |
| 2.787 | 32.11 | 63 |
| 2.734 | 32.76 | 100 |
| 2.508 | 35.80 | 26 |
| 2.314 | 38.92 | 69 |
| 2.146 | 42.10 | 25 |
| 2.075 | 43.62 | 61 |
| 1.664 | 55.19 | 27 |
| 1.599 | 57.66 | 25 |

=====

# 3
Structure and calculated powder diffraction line list of Sr2P7Br (a structure optimized by DFT (GGA-PBE); Cu Ka).
Intensities are scaled so that the largest is 100.

Cell and atoms:
```
Sr2P7Br
1.0
9.9228 0.0000 0.0000
0.0000 9.9228 0.0000
0.0000 0.0000 9.9228
Sr P Br
8 28 4
direct
0.0873 0.0873 0.0873
0.1490 0.6490 0.8510
0.3510 0.3510 0.3510
0.4127 0.9127 0.5873
0.5873 0.4127 0.9127
0.6490 0.8510 0.1490
0.8510 0.1490 0.6490
0.9127 0.5873 0.4127
0.0354 0.9646 0.4646
0.0572 0.3820 0.2177
0.1120 0.7696 0.2017
0.1180 0.7823 0.5572
0.2017 0.1120 0.7696
0.2177 0.0572 0.3820
0.2304 0.7017 0.3880
0.2696 0.2983 0.8880
0.2823 0.9428 0.8820
0.2983 0.8880 0.2696
0.3820 0.2177 0.0572
0.3880 0.2304 0.7017
0.4428 0.6180 0.7177
0.4646 0.0354 0.9646
0.5354 0.5354 0.5354
0.5572 0.1180 0.7823
0.6120 0.7304 0.7983
0.6180 0.7177 0.4428
0.7017 0.3880 0.2304
0.7177 0.4428 0.6180
0.7304 0.7983 0.6120
0.7696 0.2017 0.1120
0.7823 0.5572 0.1180
0.7983 0.6120 0.7304
0.8820 0.2823 0.9428
0.8880 0.2696 0.2983
0.9428 0.8820 0.2823
0.9646 0.4646 0.0354
0.0963 0.4037 0.5963
0.4037 0.5963 0.0963
0.5963 0.0963 0.4037
0.9037 0.9037 0.9037
```

Most intense lines, 2θ from 15° to 90°, by angle:
| d (Å) | Position (°2θ) | intensity |
| --- | --- | --- |
| 4.051 | 21.94 | 69 |
| 3.138 | 28.44 | 19 |
| 2.752 | 32.53 | 91 |
| 2.652 | 33.80 | 100 |
| 2.407 | 37.37 | 17 |
| 1.946 | 46.68 | 25 |
| 1.910 | 47.62 | 21 |
| 1.610 | 57.23 | 37 |
| 1.550 | 59.67 | 18 |
| 1.418 | 65.89 | 19 |

=====

# 4
Structure and calculated powder diffraction line list of ZrTaN3 (a structure optimized by DFT (GGA-PBE); Cu Ka).
Intensities are scaled so that the largest is 100.

Cell and atoms:
```
ZrTaN3
1.0
1.7023 -6.4634 0.0000
1.7023 6.4634 0.0000
0.0000 0.0000 5.7936
Zr Ta N
2 2 6
direct
0.1924 0.8076 0.5000
0.8076 0.1924 0.0000
0.4375 0.5625 0.5114
0.5625 0.4375 0.0114
0.0135 0.9865 0.4791
0.3282 0.6718 0.7463
0.3397 0.6603 0.2604
0.6603 0.3397 0.7604
0.6718 0.3282 0.2463
0.9865 0.0135 0.9791
```

Most intense lines, 2θ from 15° to 90°, by angle:
| d (Å) | Position (°2θ) | intensity |
| --- | --- | --- |
| 3.292 | 27.08 | 37 |
| 2.897 | 30.87 | 50 |
| 2.862 | 31.25 | 74 |
| 2.822 | 31.70 | 100 |
| 2.426 | 37.06 | 29 |
| 1.964 | 46.23 | 26 |
| 1.940 | 46.83 | 21 |
| 1.678 | 54.69 | 19 |
| 1.658 | 55.42 | 21 |
| 1.458 | 63.86 | 27 |

=====

# 5
Structure and calculated powder diffraction line list of Ti3MoS6 (a structure optimized by DFT (GGA-PBE); Cu Ka).
Intensities are scaled so that the largest is 100.

Cell and atoms:
```
Ti3MoS6
1.0
11.1015 0.0000 0.0000
0.0000 3.3507 0.0000
-3.8574 0.0000 10.9246
Ti Mo S
6 2 12
direct
0.0046 0.2500 0.1110
0.2676 0.2500 0.7324
0.4211 0.7500 0.5764
0.5789 0.2500 0.4236
0.7324 0.7500 0.2676
0.9954 0.7500 0.8890
0.1965 0.2500 0.9626
0.8035 0.7500 0.0374
0.0450 0.2500 0.7601
0.1774 0.7500 0.1057
0.1984 0.7500 0.5794
0.3346 0.7500 0.9042
0.3584 0.2500 0.4161
0.4822 0.2500 0.7392
0.5178 0.7500 0.2608
0.6416 0.7500 0.5839
0.6654 0.2500 0.0958
0.8016 0.2500 0.4206
0.8226 0.2500 0.8943
0.9550 0.7500 0.2399
```

Most intense lines, 2θ from 15° to 90°, by angle:
| d (Å) | Position (°2θ) | intensity |
| --- | --- | --- |
| 5.469 | 16.21 | 56 |
| 2.743 | 32.65 | 50 |
| 2.531 | 35.47 | 82 |
| 2.466 | 36.44 | 100 |
| 2.427 | 37.04 | 84 |
| 2.269 | 39.72 | 90 |
| 2.217 | 40.70 | 61 |
| 2.060 | 43.95 | 73 |
| 1.936 | 46.93 | 71 |
| 1.675 | 54.79 | 65 |

=====

# 6
Structure and calculated powder diffraction line list of NaOsBr6 (a structure optimized by DFT (GGA-PBE); Cu Ka).
Intensities are scaled so that the largest is 100.

Cell and atoms:
```
NaOsBr6
1.0
5.6454 -4.2387 0.0000
5.6454 4.2387 0.0000
-0.2837 0.0000 10.8675
Na Os Br
2 2 12
direct
0.0172 0.9828 0.7500
0.9828 0.0172 0.2500
0.0000 0.5000 0.0000
0.5000 0.0000 0.5000
0.1434 0.5447 0.2046
0.1483 0.2059 0.4936
0.2059 0.1483 0.9936
0.2651 0.6059 0.8994
0.3941 0.7349 0.6006
0.4553 0.8566 0.2954
0.5447 0.1434 0.7046
0.6059 0.2651 0.3994
0.7349 0.3941 0.1006
0.7941 0.8517 0.0064
0.8517 0.7941 0.5064
0.8566 0.4553 0.7954
```

Most intense lines, 2θ from 15° to 90°, by angle:
| d (Å) | Position (°2θ) | intensity |
| --- | --- | --- |
| 5.792 | 15.30 | 100 |
| 5.711 | 15.52 | 93 |
| 5.643 | 15.70 | 35 |
| 5.434 | 16.31 | 41 |
| 3.220 | 27.71 | 32 |
| 2.938 | 30.43 | 28 |
| 2.741 | 32.67 | 26 |
| 2.662 | 33.67 | 29 |
| 2.423 | 37.10 | 30 |
| 2.173 | 41.55 | 28 |

=====

# 7
Structure and calculated powder diffraction line list of Pr2PaTe5 (a structure optimized by DFT (GGA-PBE); Cu Ka).
Intensities are scaled so that the largest is 100.

Cell and atoms:
```
Pr2PaTe5
1.0
8.9226 0.0000 0.0000
0.0000 13.6474 0.0000
0.0000 0.0000 4.3761
Pr Pa Te
4 2 10
direct
0.0292 0.1768 0.0000
0.4708 0.6768 0.0000
0.5292 0.3232 0.0000
0.9708 0.8232 0.0000
0.0000 0.5000 0.5000
0.5000 0.0000 0.5000
0.0000 0.0000 0.5000
0.1760 0.3980 0.0000
0.1787 0.6948 0.5000
0.3213 0.1948 0.5000
0.3240 0.8980 0.0000
0.5000 0.5000 0.5000
0.6760 0.1020 0.0000
0.6787 0.8052 0.5000
0.8213 0.3052 0.5000
0.8240 0.6020 0.0000
```

Most intense lines, 2θ from 15° to 90°, by angle:
| d (Å) | Position (°2θ) | intensity |
| --- | --- | --- |
| 3.405 | 26.17 | 37 |
| 3.186 | 28.00 | 34 |
| 3.045 | 29.33 | 41 |
| 2.841 | 31.50 | 100 |
| 2.691 | 33.30 | 44 |
| 2.489 | 36.08 | 31 |
| 2.242 | 40.23 | 32 |
| 2.188 | 41.26 | 34 |
| 1.908 | 47.66 | 21 |
| 1.487 | 62.46 | 22 |

=====

# 8
Structure and calculated powder diffraction line list of GaH2Cl2 (a structure optimized by DFT (GGA-PBE); Cu Ka).
Intensities are scaled so that the largest is 100.

Cell and atoms:
```
GaH2Cl2
1.0
5.1865 -3.3999 0.0000
5.1865 3.3999 0.0000
-1.1237 0.0000 3.2944
Ga H Cl
1 2 2
direct
0.0000 0.0000 0.0000
0.4695 0.4545 0.9592
0.5455 0.5305 0.0408
0.0819 0.2568 0.6636
0.7432 0.9181 0.3365
```

Most intense lines, 2θ from 15° to 90°, by angle:
| d (Å) | Position (°2θ) | intensity |
| --- | --- | --- |
| 5.590 | 15.85 | 100 |
| 3.400 | 26.21 | 23 |
| 2.795 | 32.02 | 8 |
| 2.634 | 34.03 | 15 |
| 2.606 | 34.41 | 16 |
| 2.400 | 37.47 | 12 |
| 2.368 | 38.01 | 16 |
| 1.961 | 46.30 | 9 |
| 1.943 | 46.74 | 8 |
| 1.886 | 48.24 | 6 |